[1]
The following is a theoretical powder XRD pattern of CaTl5Hg6. It was derived from the GGA-PBE geometry in Alexandria, using λ = 1.5418 Å (Cu Kα).
Peak positions follow from Bragg's law for the DFT cell and can differ from measured ones.

Atomic structure:
```
CaTl5Hg6
1.0
5.0693 0.0000 0.0000
2.2086 7.9269 0.0000
0.0098 -0.0008 8.3880
Ca Tl Hg
1 5 6
direct
0.0000 0.0000 0.0000 Ca
0.0000 0.0000 0.5000 Tl
0.3241 0.3412 0.5000 Tl
0.3267 0.3339 0.0000 Tl
0.6733 0.6661 0.0000 Tl
0.6759 0.6588 0.5000 Tl
0.1690 0.6743 0.2463 Hg
0.1689 0.6743 0.7537 Hg
0.5000 0.0000 0.2508 Hg
0.5000 0.0000 0.7492 Hg
0.8311 0.3257 0.2463 Hg
0.8310 0.3257 0.7537 Hg
```

Peak list (10 most intense, 15 to 90 degrees two-theta, low angle first)
two_theta	I_rel
32.09	100
32.87	93
33.93	44
35.45	38
43.14	23
48.77	16
55.98	21
59.07	18
60.52	16
62.49	15

=====

[2]
The following is a theoretical powder XRD pattern of KPu4Cu3Se12. It was derived from the GGA-PBE geometry in Alexandria, using λ = 1.5418 Å (Cu Kα).
Peak positions follow from Bragg's law for the DFT cell and can differ from measured ones.

Atomic structure:
```
KPu4Cu3Se12
1.0
-5.1196 5.1196 5.1196
5.1196 -5.1196 5.1196
5.1196 5.1196 -5.1196
K Pu Cu Se
1 4 3 12
direct
0.0000 0.0000 0.0000 K
0.0000 0.0000 0.5000 Pu
0.0000 0.5000 0.0000 Pu
0.5000 0.0000 0.0000 Pu
0.5000 0.5000 0.5000 Pu
0.0000 0.5000 0.5000 Cu
0.5000 0.0000 0.5000 Cu
0.5000 0.5000 0.0000 Cu
0.1611 0.4869 0.3258 Se
0.1611 0.8354 0.6742 Se
0.1646 0.3258 0.8389 Se
0.3258 0.1611 0.4869 Se
0.3258 0.8389 0.1646 Se
0.4869 0.3258 0.1611 Se
0.5131 0.6742 0.8389 Se
0.6742 0.1611 0.8354 Se
0.6742 0.8389 0.5131 Se
0.8354 0.6742 0.1611 Se
0.8389 0.1646 0.3258 Se
0.8389 0.5131 0.6742 Se
```

Peak list (10 most intense, 15 to 90 degrees two-theta, low angle first)
two_theta	I_rel
17.32	57
24.59	95
27.55	39
32.72	17
35.05	32
39.35	55
43.29	100
56.87	31
68.59	24
79.41	35

=====

[3]
The following is a theoretical powder XRD pattern of Na5In6Pb. It was derived from the GGA-PBE geometry in Alexandria, using λ = 1.5418 Å (Cu Kα).
Peak positions follow from Bragg's law for the DFT cell and can differ from measured ones.

Atomic structure:
```
Na5In6Pb
1.0
2.3114 -7.1609 0.0000
2.3114 7.1609 0.0000
0.0000 0.0000 9.8342
Na In Pb
5 6 1
direct
0.0000 0.0000 0.0000 Na
0.3345 0.6655 0.0000 Na
0.3346 0.6654 0.5000 Na
0.6654 0.3346 0.5000 Na
0.6655 0.3345 0.0000 Na
0.1665 0.8335 0.2513 In
0.1665 0.8335 0.7487 In
0.5000 0.5000 0.2508 In
0.5000 0.5000 0.7492 In
0.8335 0.1665 0.2513 In
0.8335 0.1665 0.7487 In
0.0000 0.0000 0.5000 Pb
```

Peak list (10 most intense, 15 to 90 degrees two-theta, low angle first)
two_theta	I_rel
18.04	14
32.53	100
36.55	18
37.69	17
38.97	15
53.51	12
54.49	12
63.27	14
64.80	13
66.54	12